# 1
This entry pairs a crystal structure of SiO2 with its calculated powder X-ray diffraction pattern. Radiation: copper Kα. Structure: a crystal structure in the Materials Project, relaxed with PBE.

Principal peaks in the range 10° ≤ 2θ ≤ 90°, by intensity:
- 2θ 12.27, d = 7.215 Å, rel. 100
- 2θ 22.04, d = 4.033 Å, rel. 50
- 2θ 20.61, d = 4.310 Å, rel. 46
- 2θ 27.65, d = 3.227 Å, rel. 39
- 2θ 17.38, d = 5.102 Å, rel. 23
- 2θ 24.05, d = 3.700 Å, rel. 11
- 2θ 36.97, d = 2.431 Å, rel. 10
- 2θ 57.12, d = 1.613 Å, rel. 9
- 2θ 34.73, d = 2.583 Å, rel. 8
- 2θ 74.40, d = 1.275 Å, rel. 7
- 2θ 49.24, d = 1.851 Å, rel. 7
- 2θ 50.60, d = 1.804 Å, rel. 6

Crystal structure
```
SiO2
1.0
-5.1019 5.1019 4.3096
5.1019 -5.1019 4.3096
5.1019 5.1019 -4.3096
Si O
8 16
direct
0.0423 0.5423 0.2100
0.1678 0.9577 0.5000
0.3322 0.8322 0.7900
0.4577 0.6678 0.5000
0.5423 0.3322 0.5000
0.6678 0.1678 0.2100
0.8322 0.0423 0.5000
0.9577 0.4577 0.7900
0.0000 0.0000 0.5000
0.0000 0.5000 0.0000
0.0644 0.7500 0.3144
0.1441 0.6441 0.7882
0.2500 0.5644 0.3144
0.2500 0.9356 0.6856
0.3559 0.1441 0.5000
0.4356 0.7500 0.6856
0.5000 0.0000 0.0000
0.5000 0.5000 0.5000
0.5644 0.2500 0.3144
0.6441 0.8559 0.5000
0.7500 0.0644 0.3144
0.7500 0.4356 0.6856
0.8559 0.3559 0.2118
0.9356 0.2500 0.6856
```

# 2
This entry pairs a crystal structure of Al2Si2O11 with its calculated powder X-ray diffraction pattern. Radiation: copper Kα. Structure: a crystal structure in the Materials Project, relaxed with PBE.

Principal peaks in the range 10° ≤ 2θ ≤ 90°, by intensity:
- 2θ 16.21, d = 5.467 Å, rel. 100
- 2θ 20.69, d = 4.294 Å, rel. 49
- 2θ 21.20, d = 4.190 Å, rel. 49
- 2θ 19.60, d = 4.530 Å, rel. 27
- 2θ 32.76, d = 2.733 Å, rel. 22
- 2θ 25.54, d = 3.488 Å, rel. 20
- 2θ 33.54, d = 2.672 Å, rel. 17
- 2θ 35.26, d = 2.545 Å, rel. 12
- 2θ 36.86, d = 2.438 Å, rel. 8
- 2θ 42.77, d = 2.114 Å, rel. 8
- 2θ 34.94, d = 2.568 Å, rel. 8
- 2θ 25.72, d = 3.464 Å, rel. 7

Crystal structure
```
Al2Si2O11
1.0
2.6737 -4.5302 0.0000
2.6737 4.5302 0.0000
-0.4281 0.0000 10.9335
Al Si O
2 2 11
direct
0.1622 0.8378 0.0000
0.8378 0.1622 0.0000
0.3366 0.6963 0.4780
0.6963 0.3366 0.4780
0.0221 0.5187 0.5445
0.1203 0.1203 0.0556
0.1226 0.8713 0.8172
0.2720 0.7398 0.3327
0.4997 0.8671 0.9949
0.5187 0.0221 0.5445
0.5212 0.5212 0.4935
0.7398 0.2720 0.3327
0.8671 0.4997 0.9949
0.8713 0.1226 0.8172
0.9980 0.9980 0.7561
```

# 3
This entry pairs a crystal structure of LiBiF6 with its calculated powder X-ray diffraction pattern. Radiation: copper Kα. Structure: a crystal structure in the Materials Project, relaxed with PBE.

Principal peaks in the range 10° ≤ 2θ ≤ 90°, by intensity:
- 2θ 20.52, d = 4.327 Å, rel. 100
- 2θ 23.17, d = 3.840 Å, rel. 95
- 2θ 39.17, d = 2.300 Å, rel. 49
- 2θ 18.46, d = 4.806 Å, rel. 43
- 2θ 31.71, d = 2.822 Å, rel. 34
- 2θ 51.62, d = 1.771 Å, rel. 31
- 2θ 36.94, d = 2.434 Å, rel. 23
- 2θ 40.25, d = 2.241 Å, rel. 19
- 2θ 34.24, d = 2.619 Å, rel. 17
- 2θ 55.05, d = 1.668 Å, rel. 17
- 2θ 53.85, d = 1.703 Å, rel. 17
- 2θ 47.35, d = 1.920 Å, rel. 16

Crystal structure
```
LiBiF6
1.0
2.6191 1.5121 4.8063
-2.6191 1.5121 4.8063
0.0000 -3.0243 4.8063
Li Bi F
1 1 6
direct
0.0000 0.0000 0.0000
0.5000 0.5000 0.5000
0.1155 0.3867 0.7500
0.2500 0.8845 0.6133
0.3867 0.7500 0.1155
0.6133 0.2500 0.8845
0.7500 0.1155 0.3867
0.8845 0.6133 0.2500
```

# 4
This entry pairs a crystal structure of YMg14Cd with its calculated powder X-ray diffraction pattern. Radiation: copper Kα. Structure: a crystal structure in the Materials Project, relaxed with PBE.

Principal peaks in the range 10° ≤ 2θ ≤ 90°, by intensity:
- 2θ 36.41, d = 2.467 Å, rel. 100
- 2θ 15.82, d = 5.601 Å, rel. 38
- 2θ 23.31, d = 3.817 Å, rel. 31
- 2θ 31.96, d = 2.801 Å, rel. 29
- 2θ 34.39, d = 2.608 Å, rel. 25
- 2θ 68.25, d = 1.374 Å, rel. 19
- 2θ 62.93, d = 1.477 Å, rel. 19
- 2θ 47.65, d = 1.908 Å, rel. 18
- 2θ 56.95, d = 1.617 Å, rel. 17
- 2θ 69.51, d = 1.352 Å, rel. 14
- 2θ 32.58, d = 2.748 Å, rel. 13
- 2θ 17.00, d = 5.215 Å, rel. 11

Crystal structure
```
YMg14Cd
1.0
6.4676 0.0000 0.0000
-3.2338 5.6011 0.0000
0.0000 0.0000 10.4305
Y Mg Cd
1 14 1
direct
0.0000 0.0000 0.0000
0.0114 0.5057 0.0000
0.1667 0.3333 0.2561
0.1667 0.3333 0.7439
0.1667 0.8333 0.2561
0.1667 0.8333 0.7439
0.4943 0.5057 0.0000
0.4943 0.9886 0.0000
0.5014 0.0027 0.5000
0.5014 0.4986 0.5000
0.6667 0.3333 0.2461
0.6667 0.3333 0.7539
0.6667 0.8333 0.2561
0.6667 0.8333 0.7439
0.9973 0.4986 0.5000
0.0000 0.0000 0.5000
```

# 5
This entry pairs a crystal structure of DyNi4Sn with its calculated powder X-ray diffraction pattern. Radiation: copper Kα. Structure: a crystal structure in the Materials Project, relaxed with PBE.

Principal peaks in the range 10° ≤ 2θ ≤ 90°, by intensity:
- 2θ 32.11, d = 2.787 Å, rel. 100
- 2θ 40.50, d = 2.228 Å, rel. 85
- 2θ 41.65, d = 2.168 Å, rel. 70
- 2θ 38.08, d = 2.363 Å, rel. 53
- 2θ 46.58, d = 1.950 Å, rel. 53
- 2θ 44.97, d = 2.016 Å, rel. 49
- 2θ 62.10, d = 1.495 Å, rel. 48
- 2θ 34.88, d = 2.572 Å, rel. 30
- 2θ 68.41, d = 1.371 Å, rel. 23
- 2θ 73.66, d = 1.286 Å, rel. 21
- 2θ 29.89, d = 2.989 Å, rel. 18
- 2θ 67.17, d = 1.394 Å, rel. 16

Crystal structure
```
DyNi4Sn
1.0
8.9103 0.0000 0.0000
-4.4551 7.7165 0.0000
0.0000 0.0000 4.0312
Dy Ni Sn
3 12 3
direct
0.0000 0.0000 0.0000
0.3333 0.6667 0.5000
0.6667 0.3333 0.5000
0.0000 0.2859 0.5000
0.0000 0.7141 0.5000
0.1774 0.3548 0.0000
0.1774 0.8226 0.0000
0.2859 0.0000 0.5000
0.2859 0.2859 0.5000
0.3548 0.1774 0.0000
0.6452 0.8226 0.0000
0.7141 0.0000 0.5000
0.7141 0.7141 0.5000
0.8226 0.1774 0.0000
0.8226 0.6452 0.0000
0.0000 0.5000 0.0000
0.5000 0.0000 0.0000
0.5000 0.5000 0.0000
```

# 6
This entry pairs a crystal structure of AsNF6 with its calculated powder X-ray diffraction pattern. Radiation: copper Kα. Structure: a crystal structure in the Materials Project, relaxed with PBE.

Principal peaks in the range 10° ≤ 2θ ≤ 90°, by intensity:
- 2θ 18.60, d = 4.771 Å, rel. 100
- 2θ 45.56, d = 1.991 Å, rel. 45
- 2θ 24.62, d = 3.615 Å, rel. 42
- 2θ 28.11, d = 3.174 Å, rel. 32
- 2θ 31.04, d = 2.881 Å, rel. 28
- 2θ 64.07, d = 1.453 Å, rel. 14
- 2θ 58.00, d = 1.590 Å, rel. 13
- 2θ 44.61, d = 2.031 Å, rel. 11
- 2θ 54.26, d = 1.690 Å, rel. 11
- 2θ 68.69, d = 1.367 Å, rel. 7
- 2θ 66.29, d = 1.410 Å, rel. 6
- 2θ 50.49, d = 1.808 Å, rel. 6

Crystal structure
```
AsNF6
1.0
3.6154 2.0874 2.4550
-3.6154 2.0874 2.4550
0.0000 -4.1748 2.4550
As N F
1 1 6
direct
0.0000 0.0000 0.0000
0.5000 0.5000 0.5000
0.0854 0.7159 0.7739
0.2261 0.9146 0.2841
0.2841 0.2261 0.9146
0.7159 0.7739 0.0854
0.7739 0.0854 0.7159
0.9146 0.2841 0.2261
```

# 7
This entry pairs a crystal structure of Lu2Ge3Pt9 with its calculated powder X-ray diffraction pattern. Radiation: copper Kα. Structure: a crystal structure in the Materials Project, relaxed with PBE.

Principal peaks in the range 10° ≤ 2θ ≤ 90°, by intensity:
- 2θ 37.90, d = 2.374 Å, rel. 100
- 2θ 39.99, d = 2.254 Å, rel. 44
- 2θ 40.16, d = 2.245 Å, rel. 26
- 2θ 71.22, d = 1.324 Å, rel. 21
- 2θ 71.49, d = 1.320 Å, rel. 15
- 2θ 46.68, d = 1.946 Å, rel. 14
- 2θ 56.37, d = 1.632 Å, rel. 12
- 2θ 76.39, d = 1.247 Å, rel. 10
- 2θ 37.73, d = 2.384 Å, rel. 10
- 2θ 71.35, d = 1.322 Å, rel. 9
- 2θ 39.02, d = 2.309 Å, rel. 9
- 2θ 35.88, d = 2.503 Å, rel. 8

Crystal structure
```
Lu2Ge3Pt9
1.0
6.7371 -3.9099 0.0000
6.7371 3.9099 0.0000
-4.5050 0.0000 8.9773
Lu Ge Pt
4 6 18
direct
0.0843 0.2553 0.2508
0.2553 0.0843 0.7508
0.7447 0.9157 0.2492
0.9157 0.7447 0.7492
0.0000 0.5000 0.0000
0.1396 0.6815 0.5022
0.3185 0.8604 0.9978
0.5000 0.0000 0.5000
0.6815 0.1396 0.0022
0.8604 0.3185 0.4978
0.0218 0.8615 0.0781
0.1385 0.9782 0.4219
0.1921 0.3603 0.5794
0.2019 0.5839 0.2562
0.2953 0.4773 0.9229
0.3603 0.1921 0.0794
0.3643 0.6357 0.7500
0.4161 0.7981 0.2438
0.4773 0.2953 0.4229
0.5227 0.7047 0.5771
0.5839 0.2019 0.7562
0.6357 0.3643 0.2500
0.6397 0.8079 0.9206
0.7047 0.5227 0.0771
0.7981 0.4161 0.7438
0.8079 0.6397 0.4206
0.8615 0.0218 0.5781
0.9782 0.1385 0.9219
```

# 8
This entry pairs a crystal structure of Pb3Se2I2O6 with its calculated powder X-ray diffraction pattern. Radiation: copper Kα. Structure: a crystal structure in the Materials Project, relaxed with PBE.

Principal peaks in the range 10° ≤ 2θ ≤ 90°, by intensity:
- 2θ 27.15, d = 3.285 Å, rel. 100
- 2θ 29.93, d = 2.985 Å, rel. 71
- 2θ 30.72, d = 2.910 Å, rel. 34
- 2θ 29.48, d = 3.030 Å, rel. 33
- 2θ 43.10, d = 2.099 Å, rel. 27
- 2θ 12.12, d = 7.305 Å, rel. 18
- 2θ 40.33, d = 2.236 Å, rel. 17
- 2θ 28.38, d = 3.145 Å, rel. 15
- 2θ 49.14, d = 1.854 Å, rel. 15
- 2θ 24.79, d = 3.591 Å, rel. 13
- 2θ 17.21, d = 5.152 Å, rel. 12
- 2θ 45.60, d = 1.989 Å, rel. 12

Crystal structure
```
Pb3Se2I2O6
1.0
6.8576 -2.9102 0.0000
6.8576 2.9102 0.0000
-0.8786 0.0000 14.6092
Pb Se I O
6 4 4 12
direct
0.0681 0.9319 0.7500
0.2757 0.3128 0.1539
0.3128 0.2757 0.6539
0.6872 0.7243 0.3461
0.7243 0.6872 0.8461
0.9319 0.0681 0.2500
0.3890 0.4026 0.3714
0.4026 0.3890 0.8714
0.5974 0.6110 0.1286
0.6110 0.5974 0.6286
0.1326 0.1472 0.9471
0.1472 0.1326 0.4471
0.8528 0.8674 0.5529
0.8674 0.8528 0.0529
0.1260 0.5642 0.8014
0.1263 0.5958 0.2983
0.4042 0.8737 0.2017
0.4358 0.8740 0.6986
0.4396 0.5285 0.6451
0.4715 0.5604 0.8549
0.5285 0.4396 0.1451
0.5604 0.4715 0.3549
0.5642 0.1260 0.3014
0.5958 0.1263 0.7983
0.8737 0.4042 0.7017
0.8740 0.4358 0.1986
```